# Y2Pd7Au3
Theoretical XRD peak list, Cu Kα, 1.54184 Å. Input: a crystal structure in Alexandria, relaxed with PBE.

Principal peaks in the range 2θ = 10–90°, by angle:
d [Å]	2θ (°)	I_rel
2.496	35.98	37
2.392	37.60	55
2.344	38.40	36
2.333	38.58	31
2.265	39.79	100
2.178	41.46	40
2.101	43.04	23
2.078	43.56	24

Structure:
```
Y2Pd7Au3
1.0
4.5399 0.0000 0.0000
-2.0432 4.7493 0.0000
-0.4070 -2.6112 10.3835
Y Pd Au
2 7 3
Direct
0.2192 0.4418 0.2646 Y
0.7808 0.5582 0.7354 Y
0.0000 0.0000 0.0000 Pd
0.0793 0.1783 0.7679 Pd
0.1695 0.3092 0.5305 Pd
0.4670 0.9436 0.8679 Pd
0.5330 0.0564 0.1321 Pd
0.8305 0.6908 0.4695 Pd
0.9207 0.8217 0.2321 Pd
0.4431 0.9137 0.6132 Au
0.5000 0.5000 0.0000 Au
0.5569 0.0863 0.3868 Au
```

---

# TlNi2Au
Theoretical XRD peak list, Cu Kα, 1.54184 Å. Input: a crystal structure in Alexandria, relaxed with PBE.

Principal peaks in the range 2θ = 10–90°, by angle:
d [Å]	2θ (°)	I_rel
3.733	23.84	26
2.875	31.11	37
2.778	32.22	30
2.305	39.08	100
2.286	39.42	47
2.229	40.47	42
2.103	43.01	82
1.243	76.63	17

Structure:
```
TlNi2Au
1.0
4.7735 -1.5143 0.0000
4.7735 1.5143 0.0000
-1.3053 0.0000 4.3513
Tl Ni Au
1 2 1
Direct
0.0000 0.0000 0.0000 Tl
0.4681 0.4681 0.4781 Ni
0.7552 0.7552 0.1860 Ni
0.2204 0.2204 0.6522 Au
```